Entry 1:
Calculated XRD peak list of LiCrPO4 for a wavelength of 1.5418 Å, from a DFT-relaxed cell (PBE+U, the Materials Project).

Top 10 peaks for 10 to 90 degrees two-theta, by intensity:
2θ 33.6, I = 1000; 2θ 36.1, I = 646; 2θ 33.3, I = 585; 2θ 24.4, I = 565; 2θ 34.0, I = 546; 2θ 20.0, I = 460; 2θ 20.3, I = 409; 2θ 23.3, I = 335; 2θ 24.2, I = 297; 2θ 24.7, I = 260

Crystal structure
```
LiCrPO4
1.0
4.9767 0.0000 0.0000
2.3908 4.7299 0.0000
0.0698 0.0175 6.4692
Li Cr P O
2 2 2 8
direct
0.0000 0.0000 0.0000
0.3405 0.3295 0.4953
0.6799 0.6657 0.2503
0.6843 0.6635 0.7552
0.3777 0.2880 0.9965
0.9958 0.0432 0.4985
0.1894 0.3936 0.1934
0.1998 0.3864 0.7969
0.3421 0.9502 0.4962
0.5121 0.9480 0.0011
0.6353 0.3832 0.9963
0.7980 0.3829 0.5009
0.9083 0.9379 0.6969
0.9083 0.9427 0.3014
```


Entry 2:
Calculated XRD peak list of LiCrPO4 for a wavelength of 1.5418 Å, from a DFT-relaxed cell (PBE+U, the Materials Project).

Top 10 peaks for 10 to 90 degrees two-theta, by intensity:
2θ 38.9, I = 1000; 2θ 27.6, I = 679; 2θ 32.1, I = 477; 2θ 21.5, I = 454; 2θ 19.2, I = 452; 2θ 33.8, I = 377; 2θ 36.3, I = 336; 2θ 46.2, I = 281; 2θ 48.4, I = 258; 2θ 56.6, I = 234

Crystal structure
```
LiCrPO4
1.0
2.7909 -4.1410 0.0000
2.7909 4.1410 0.0000
0.0000 0.0000 6.4666
Li Cr P O
2 2 2 8
direct
0.0000 0.0000 0.0000
0.0000 0.0000 0.5000
0.2927 0.7073 0.7500
0.7073 0.2927 0.2500
0.3549 0.6451 0.2500
0.6451 0.3549 0.7500
0.2367 0.3082 0.2500
0.2441 0.7559 0.0570
0.2441 0.7559 0.4430
0.3082 0.2367 0.7500
0.6918 0.7633 0.2500
0.7559 0.2441 0.5570
0.7559 0.2441 0.9430
0.7633 0.6918 0.7500
```